Structure and computed X-ray diffraction stick pattern of Nd8GaPt2 (a PBE-relaxed structure; Cu Kα (λ = 1.5418 Å)).
Lines closer than 0.1° are merged.

Main lines, low angle first (2θ from 15° to 90°):
hkl, Position (°2θ), I/Imax
0 0 1, 15.57, 52.2
2 2 0, 24.82, 55.2
1 3 1, 28.86, 96.5
2 0 1, 29.22, 49.3
0 4 1, 30.82, 100.0
3 1 -1, 32.41, 95.5
2 4 0, 33.98, 74.5
0 2 2, 34.19, 58.2
1 5 -1, 37.29, 77.6
3 3 0, 37.61, 81.6

Crystal structure
Unit cell a=8.744 b=13.487 c=5.874 alpha=90.00 beta=104.28 gamma=90.00
Space group Cm (No. 8)
Asymmetric unit:
Nd 0.000 0.000 0.000 x2
Nd 0.088 0.372 0.810 x4
Nd 0.180 0.126 0.603 x4
Nd 0.245 0.500 0.381 x2
Nd 0.386 0.235 0.197 x4
Ga 0.375 0.000 0.099 x2
Pt 0.382 0.309 0.692 x4